[1]
# Th4GaFe
Theoretical PXRD pattern, Cu Kα, 1.54184 Å. Input: a DFT-relaxed cell (GGA-PBE, Alexandria).
Kinematic intensities with the Lorentz-polarization factor, no thermal factor.

Structural model:
```
data_Th4GaFe
_cell_length_a 8.6326
_cell_length_b 13.1028
_cell_length_c 5.9701
_cell_angle_alpha 90.00
_cell_angle_beta 111.83
_cell_angle_gamma 90.00
_symmetry_space_group_name_H-M 'C 1 2/c 1'
_symmetry_Int_Tables_number 15
_symmetry_space_group_name_Hall '-C 2yc'
loop_
_atom_site_label
_atom_site_type_symbol
_atom_site_fract_x
_atom_site_fract_y
_atom_site_fract_z
_atom_site_occupancy
Th1 Th 0.1159 0.1761 0.0624 1
Th2 Th 0.2060 0.4188 0.3504 1
Ga1 Ga 0.0000 0.3798 0.7500 1
Fe1 Fe 0.0000 0.0004 0.2500 1
```

Top 6 peaks for 15° ≤ 2θ ≤ 90°, sorted by position:
2θ (°)  Rel. int.  hkl
30.73  75  1 1 -2
31.73  47  0 4 1
32.06  85  3 1 -1
34.94  100  2 2 1
35.28  44  2 4 -1
55.48  46  4 2 -3

***

[2]
# Ca3Ac3CuS8
Theoretical PXRD pattern, Cu Kα, 1.54184 Å. Input: a DFT-relaxed cell (GGA-PBE, Alexandria).
Kinematic intensities with the Lorentz-polarization factor, no thermal factor.

Structural model:
```
data_Ca3Ac3CuS8
_cell_length_a 14.1467
_cell_length_b 8.4057
_cell_length_c 8.3086
_cell_angle_alpha 90.00
_cell_angle_beta 125.18
_cell_angle_gamma 90.00
_symmetry_space_group_name_H-M 'C 1 2/m 1'
_symmetry_Int_Tables_number 12
_symmetry_space_group_name_Hall '-C 2y'
loop_
_atom_site_label
_atom_site_type_symbol
_atom_site_fract_x
_atom_site_fract_y
_atom_site_fract_z
_atom_site_occupancy
Ca1 Ca 0.0000 0.0000 0.0000 1
Ca2 Ca 0.2500 0.2500 0.5000 1
Ac1 Ac 0.0000 0.5000 0.5000 1
Ac2 Ac 0.2500 0.2500 0.0000 1
Cu1 Cu 0.0000 0.0000 0.5000 1
S1 S 0.0037 0.2546 0.2451 1
S2 S 0.2069 0.0000 0.7018 1
S3 S 0.2435 0.0000 0.2527 1
```

Top 6 peaks for 15° ≤ 2θ ≤ 90°, sorted by position:
2θ (°)  Rel. int.  hkl
24.92  51  0 2 1
26.22  59  0 0 2
30.25  100  2 2 -2
30.93  44  4 0 0
43.58  51  4 0 -4
44.04  33  6 2 -2

***

[3]
# PrCo13
Theoretical PXRD pattern, Cu Kα, 1.54184 Å. Input: a DFT-relaxed cell (GGA-PBE, Alexandria).
Kinematic intensities with the Lorentz-polarization factor, no thermal factor.

Structural model:
```
data_PrCo13
_cell_length_a 11.2538
_cell_length_b 11.2538
_cell_length_c 11.2538
_cell_angle_alpha 90.00
_cell_angle_beta 90.00
_cell_angle_gamma 90.00
_symmetry_space_group_name_H-M 'F m -3 c'
_symmetry_Int_Tables_number 226
_symmetry_space_group_name_Hall '-F 4a 2 3'
loop_
_atom_site_label
_atom_site_type_symbol
_atom_site_fract_x
_atom_site_fract_y
_atom_site_fract_z
_atom_site_occupancy
Pr1 Pr 0.2500 0.2500 0.2500 1
Co1 Co 0.0000 0.0000 0.0000 1
Co2 Co 0.0000 0.1183 0.1776 1
```

Top 6 peaks for 15° ≤ 2θ ≤ 90°, sorted by position:
2θ (°)  Rel. int.  hkl
35.68  56  4 2 0
39.22  94  4 2 2
47.82  100  5 3 1
48.54  18  6 0 0
51.35  23  6 2 0
61.68  17  6 4 2

***

[4]
# Hf3ZrMn8
Theoretical PXRD pattern, Cu Kα, 1.54184 Å. Input: a DFT-relaxed cell (GGA-PBE, Alexandria).
Kinematic intensities with the Lorentz-polarization factor, no thermal factor.

Structural model:
```
data_Hf3ZrMn8
_cell_length_a 4.9420
_cell_length_b 4.9420
_cell_length_c 24.2094
_cell_angle_alpha 90.00
_cell_angle_beta 90.00
_cell_angle_gamma 120.00
_symmetry_space_group_name_H-M 'R 3 m'
_symmetry_Int_Tables_number 160
_symmetry_space_group_name_Hall 'R 3 -2"'
loop_
_atom_site_label
_atom_site_type_symbol
_atom_site_fract_x
_atom_site_fract_y
_atom_site_fract_z
_atom_site_occupancy
Hf1 Hf 0.0000 0.0000 0.0000 1
Hf2 Hf 0.0000 0.0000 0.1249 1
Hf3 Hf 0.0000 0.0000 0.6252 1
Zr1 Zr 0.0000 0.0000 0.4999 1
Mn1 Mn 0.0000 0.0000 0.3125 1
Mn2 Mn 0.0000 0.0000 0.8124 1
Mn3 Mn 0.0005 0.5002 0.5630 1
Mn4 Mn 0.1671 0.3342 0.3954 1
```

Top 6 peaks for 15° ≤ 2θ ≤ 90°, sorted by position:
2θ (°)  Rel. int.  hkl
22.03  20  0 0 6
36.36  70  1 1 0
42.92  100  2 0 2
65.42  25  3 0 0
69.94  30  3 0 6
77.22  21  2 2 0

***

[5]
# Tl5Hg2Sb4
Theoretical PXRD pattern, Cu Kα, 1.54184 Å. Input: a DFT-relaxed cell (GGA-PBE, Alexandria).
Kinematic intensities with the Lorentz-polarization factor, no thermal factor.

Structural model:
```
data_Tl5Hg2Sb4
_cell_length_a 25.2434
_cell_length_b 4.0685
_cell_length_c 6.9509
_cell_angle_alpha 90.00
_cell_angle_beta 91.77
_cell_angle_gamma 90.00
_symmetry_space_group_name_H-M 'C 1 2/m 1'
_symmetry_Int_Tables_number 12
_symmetry_space_group_name_Hall '-C 2y'
loop_
_atom_site_label
_atom_site_type_symbol
_atom_site_fract_x
_atom_site_fract_y
_atom_site_fract_z
_atom_site_occupancy
Tl1 Tl 0.0000 0.0000 0.0000 1
Tl2 Tl 0.0982 0.5000 0.1853 1
Tl3 Tl 0.1970 0.5000 0.8574 1
Hg1 Hg 0.2195 0.5000 0.3546 1
Sb1 Sb 0.0430 0.5000 0.6544 1
Sb2 Sb 0.1233 0.0000 0.5593 1
```

Top 6 peaks for 15° ≤ 2θ ≤ 90°, sorted by position:
2θ (°)  Rel. int.  hkl
27.69  38  3 1 1
28.96  39  4 0 -2
33.21  69  7 1 0
34.02  100  1 1 -2
35.39  60  3 1 -2
44.55  36  0 2 0

***

[6]
# Sr2Li2PaO6
Theoretical PXRD pattern, Cu Kα, 1.54184 Å. Input: a DFT-relaxed cell (GGA-PBE, Alexandria).
Kinematic intensities with the Lorentz-polarization factor, no thermal factor.

Structural model:
```
data_Sr2Li2PaO6
_cell_length_a 5.6095
_cell_length_b 5.6095
_cell_length_c 5.6874
_cell_angle_alpha 90.00
_cell_angle_beta 90.00
_cell_angle_gamma 120.00
_symmetry_space_group_name_H-M 'P -3 1 m'
_symmetry_Int_Tables_number 162
_symmetry_space_group_name_Hall '-P 3 2'
loop_
_atom_site_label
_atom_site_type_symbol
_atom_site_fract_x
_atom_site_fract_y
_atom_site_fract_z
_atom_site_occupancy
Sr1 Sr 0.3333 0.6667 0.0000 1
Li1 Li 0.3333 0.6667 0.5000 1
Pa1 Pa 0.0000 0.0000 0.5000 1
O1 O 0.0000 0.3271 0.2914 1
```

Top 6 peaks for 15° ≤ 2θ ≤ 90°, sorted by position:
2θ (°)  Rel. int.  hkl
18.26  17  1 0 0
24.09  100  1 0 1
31.91  34  1 1 0
40.38  26  2 0 1
45.42  40  1 1 2
52.36  25  2 1 1

***

[7]
# KBaI2
Theoretical PXRD pattern, Cu Kα, 1.54184 Å. Input: a DFT-relaxed cell (GGA-PBE, Alexandria).
Kinematic intensities with the Lorentz-polarization factor, no thermal factor.

Structural model:
```
data_KBaI2
_cell_length_a 4.6696
_cell_length_b 4.6696
_cell_length_c 28.3721
_cell_angle_alpha 90.00
_cell_angle_beta 90.00
_cell_angle_gamma 120.00
_symmetry_space_group_name_H-M 'R -3 m'
_symmetry_Int_Tables_number 166
_symmetry_space_group_name_Hall '-R 3 2"'
loop_
_atom_site_label
_atom_site_type_symbol
_atom_site_fract_x
_atom_site_fract_y
_atom_site_fract_z
_atom_site_occupancy
K1 K 0.0000 0.0000 0.0000 1
Ba1 Ba 0.0000 0.0000 0.5000 1
I1 I 0.0000 0.0000 0.2532 1
```

Top 6 peaks for 15° ≤ 2θ ≤ 90°, sorted by position:
2θ (°)  Rel. int.  hkl
25.35  100  1 0 4
33.61  47  0 1 8
38.56  32  1 1 0
46.71  18  0 2 4
55.30  21  1 1 12
62.12  16  2 1 4